SrZnSe2O6: theoretical powder diffraction line list (Cu Kα (weighted mean of Kα1 and Kα2)), based on a cell relaxed with PBE.

Structural model:
abc: 4.420 14.635 10.057
angles: 90.00 111.52 90.00
Space group P2_1/c (No. 14)
Asymmetric unit:
Sr 0.211 0.117 0.466 x4
Zn 0.021 0.152 0.782 x4
Se 0.131 0.694 0.430 x4
Se 0.453 0.000 0.213 x4
O 0.060 0.513 0.708 x4
O 0.124 0.204 0.974 x4
O 0.145 0.191 0.240 x4
O 0.223 0.689 0.926 x4
O 0.348 0.535 0.113 x4
O 0.457 0.117 0.769 x4

Most intense lines, 2θ = 5–70°, in order of rising 2θ:
two_theta  d/Å  I (rel.)  h k l
22.56  3.942  60  0 2 2
24.84  3.584  100  1 2 0
26.04  3.422  53  1 2 -2
29.42  3.036  71  1 2 1
31.18  2.869  55  0 2 3
31.43  2.846  54  1 2 -3
32.04  2.794  58  0 5 1
40.97  2.203  70  2 0 -2



Tb2Se2O7: theoretical powder diffraction line list (Cu Kα (weighted mean of Kα1 and Kα2)), based on a cell relaxed with PBE.

Structural model:
abc: 10.583 10.583 5.212
angles: 90.00 90.00 90.00
Space group P4_2/ncm (No. 138, origin choice 2)
Asymmetric unit:
Tb 0.128 0.628 0.000 x8
Se 0.130 0.130 0.036 x8
O 0.003 0.681 0.629 x16
O 0.065 0.065 0.312 x8
O 0.250 0.750 0.250 x4

Most intense lines, 2θ = 5–70°, in order of rising 2θ:
two_theta  d/Å  I (rel.)  h k l
11.83  7.483  16  1 1 0
29.38  3.040  100  2 2 1
33.88  2.646  30  4 0 0
34.41  2.606  13  0 0 2
48.67  1.871  13  4 4 0
49.07  1.857  25  4 0 2
57.88  1.593  31  6 2 1
58.58  1.576  14  2 2 3



TbTlSeO: theoretical powder diffraction line list (Cu Kα (weighted mean of Kα1 and Kα2)), based on a cell relaxed with PBE.

Structural model:
abc: 5.593 5.558 12.154
angles: 90.00 100.13 90.00
Space group P2_1 (No. 4)
Asymmetric unit:
Tb 0.039 0.000 0.092 x2
Tb 0.461 0.001 0.908 x2
Tl 0.005 0.614 0.608 x2
Tl 0.492 0.614 0.392 x2
Se 0.021 0.112 0.739 x2
Se 0.480 0.110 0.261 x2
O 0.250 0.256 0.000 x2
O 0.250 0.754 0.000 x2

Most intense lines, 2θ = 5–70°, in order of rising 2θ:
two_theta  d/Å  I (rel.)  h k l
24.82  3.588  23  1 1 1
29.93  2.986  100  1 1 -3
32.21  2.779  26  0 2 0
32.53  2.753  37  2 0 0
33.09  2.707  15  0 2 1
34.05  2.633  59  1 1 3
46.43  1.956  20  2 2 0
53.77  1.705  15  3 1 -3



TbYSeO2: theoretical powder diffraction line list (Cu Kα (weighted mean of Kα1 and Kα2)), based on a cell relaxed with PBE.

Structural model:
abc: 3.8377 3.8377 6.7854
angles: 90.00 90.00 120.00
Space group P3m1 (No. 156)
Asymmetric unit:
Tb 0.0000 0.0000 0.0000 x1
Y 0.6667 0.3333 0.4207 x1
Se 0.3333 0.6667 0.7088 x1
O 0.0000 0.0000 0.3365 x1
O 0.6667 0.3333 0.0832 x1

Most intense lines, 2θ = 5–70°, in order of rising 2θ:
two_theta  d/Å  I (rel.)  h k l
29.94  2.985  100  1 0 1
37.90  2.374  45  0 1 2
39.86  2.262  11  0 0 3
47.38  1.919  35  1 1 0
48.70  1.870  17  1 0 3
57.06  1.614  16  0 2 1
62.21  1.492  11  2 0 2
63.59  1.463  17  1 1 3



Tm2Se2O7: theoretical powder diffraction line list (Cu Kα (weighted mean of Kα1 and Kα2)), based on a cell relaxed with PBE.

Structural model:
abc: 10.415 10.415 5.145
angles: 90.00 90.00 90.00
Space group P4_2/ncm (No. 138, origin choice 2)
Asymmetric unit:
Tm 0.129 0.629 0.000 x8
Se 0.129 0.129 0.037 x8
O 0.005 0.682 0.632 x16
O 0.064 0.064 0.316 x8
O 0.250 0.750 0.250 x4

Most intense lines, 2θ = 5–70°, in order of rising 2θ:
two_theta  d/Å  I (rel.)  h k l
12.02  7.364  20  1 1 0
29.84  2.994  100  2 2 1
34.45  2.604  30  4 0 0
34.88  2.572  13  0 0 2
49.51  1.841  13  4 4 0
49.83  1.830  25  4 0 2
58.89  1.568  31  6 2 1
59.46  1.555  14  2 2 3



ZrSi2SnO7: theoretical powder diffraction line list (Cu Kα (weighted mean of Kα1 and Kα2)), based on a cell relaxed with PBE.

Structural model:
abc: 6.982 8.679 4.682
angles: 90.00 100.46 90.00
Space group C2 (No. 5)
Asymmetric unit:
Zr 0.000 0.000 0.000 x2
Si 0.213 0.682 0.430 x4
Sn 0.000 0.399 0.000 x2
O 0.000 0.626 0.500 x2
O 0.136 0.195 0.261 x4
O 0.186 0.841 0.239 x4
O 0.210 0.043 0.754 x4

Most intense lines, 2θ = 5–70°, in order of rising 2θ:
two_theta  d/Å  I (rel.)  h k l
19.28  4.605  43  0 0 1
27.21  3.277  32  1 1 1
28.26  3.158  100  0 2 1
29.50  3.028  67  2 0 -1
33.28  2.692  45  2 2 0
33.62  2.666  30  1 3 0
40.27  2.239  37  1 3 1
54.49  1.684  32  1 3 2



Sr7ZrSi6O21: theoretical powder diffraction line list (Cu Kα (weighted mean of Kα1 and Kα2)), based on a cell relaxed with PBE.

Structural model:
abc: 8.387 8.407 8.415
angles: 106.17 106.32 106.10
Space group P-1 (No. 2)
Asymmetric unit:
Sr 0.000 0.000 0.000 x1
Sr 0.133 0.653 0.254 x2
Sr 0.254 0.131 0.651 x2
Sr 0.351 0.745 0.869 x2
Zr 0.500 0.500 0.500 x1
Si 0.039 0.314 0.425 x2
Si 0.314 0.425 0.040 x2
Si 0.425 0.041 0.315 x2
O 0.000 0.500 0.500 x1
O 0.046 0.822 0.489 x2
O 0.047 0.757 0.790 x2
O 0.176 0.509 0.953 x2
O 0.210 0.959 0.248 x2
O 0.247 0.210 0.957 x2
O 0.258 0.372 0.518 x2
O 0.373 0.519 0.258 x2
O 0.479 0.741 0.625 x2
O 0.492 0.047 0.823 x2
O 0.500 0.000 0.500 x1
O 0.500 0.500 0.000 x1

Most intense lines, 2θ = 5–70°, in order of rising 2θ:
two_theta  d/Å  I (rel.)  h k l
26.53  3.360  37  2 0 -2
27.37  3.258  100  1 2 -1
27.47  3.247  39  2 -1 1
27.65  3.226  27  1 1 1
29.16  3.062  91  1 2 -2
30.74  2.908  28  0 1 2
33.34  2.688  38  0 1 -3
48.84  1.865  22  1 3 -4



Tb2SiO5: theoretical powder diffraction line list (Cu Kα (weighted mean of Kα1 and Kα2)), based on a cell relaxed with PBE.

Structural model:
abc: 14.445 6.702 10.363
angles: 90.00 122.10 90.00
Space group C2/c (No. 15)
Asymmetric unit:
Tb 0.036 0.247 0.462 x8
Tb 0.141 0.130 0.833 x8
Si 0.181 0.409 0.310 x8
O 0.019 0.097 0.900 x8
O 0.090 0.493 0.646 x8
O 0.118 0.209 0.316 x8
O 0.198 0.438 0.945 x8
O 0.203 0.144 0.672 x8

Most intense lines, 2θ = 5–70°, in order of rising 2θ:
two_theta  d/Å  I (rel.)  h k l
22.79  3.902  100  3 1 -1
25.13  3.544  53  4 0 -2
28.51  3.131  58  0 2 1
29.64  3.014  82  3 1 -3
30.43  2.937  77  1 1 -3
30.74  2.909  92  2 0 2
35.07  2.559  50  5 1 -1
41.42  2.180  55  6 0 -4